# 1
Theoretical powder diffraction line list of ZrTl2Ag2S4 for Cu Kα (λ = 1.5418 Å), from a DFT-relaxed cell (GGA-PBE, Alexandria).

The 6 most intense peaks (2θ from 15° to 90°), in order of rising 2θ:
hkl 4 0 -1, 2θ 24.0, I = 46; hkl 0 0 2, 2θ 24.7, I = 46; hkl 3 1 -1, 2θ 29.4, I = 76; hkl 1 1 -2, 2θ 32.5, I = 92; hkl 3 1 1, 2θ 35.1, I = 100; hkl 0 2 0, 2θ 46.3, I = 32

Crystal structure
Unit cell a=14.9432 b=3.9245 c=7.7635 alpha=90.00 beta=111.63 gamma=90.00
Space group C2/m (No. 12)
One atom of each set of equivalent atoms:
Zr  0.0000  0.0000  0.0000 (multiplicity 2)
Tl  0.1414  0.0000  0.5699 (multiplicity 4)
Ag  0.1753  0.5000  0.9637 (multiplicity 4)
S  0.9995  0.5000  0.2282 (multiplicity 4)
S  0.1880  0.0000  0.1927 (multiplicity 4)

# 2
Theoretical powder diffraction line list of TmAgS2 for Cu Kα (λ = 1.5418 Å), from a DFT-relaxed cell (GGA-PBE, Alexandria).

The 6 most intense peaks (2θ from 15° to 90°), in order of rising 2θ:
hkl 4 0 0, 2θ 24.9, I = 70; hkl 1 1 -1, 2θ 25.9, I = 57; hkl 0 0 2, 2θ 26.6, I = 100; hkl 3 1 -1, 2θ 30.0, I = 87; hkl 2 2 0, 2θ 47.4, I = 44; hkl 8 0 -2, 2θ 51.2, I = 44

Crystal structure
Unit cell a=14.8160 b=3.9831 c=6.9564 alpha=90.00 beta=105.39 gamma=90.00
Space group Cc (No. 9)
One atom of each set of equivalent atoms:
Tm  0.0000  0.2499  0.0000 (multiplicity 4)
Ag  0.2502  0.9995  0.0007 (multiplicity 4)
S  0.0993  0.2515  0.3873 (multiplicity 4)
S  0.4010  0.2517  0.1127 (multiplicity 4)

# 3
Theoretical powder diffraction line list of TmAgS2 for Cu Kα (λ = 1.5418 Å), from a DFT-relaxed cell (GGA-PBE, Alexandria).

The 6 most intense peaks (2θ from 15° to 90°), in order of rising 2θ:
hkl 1 1 2, 2θ 27.8, I = 100; hkl 0 0 4, 2θ 29.7, I = 37; hkl 2 0 0, 2θ 33.4, I = 77; hkl 2 0 4, 2θ 45.3, I = 46; hkl 2 2 0, 2θ 48.0, I = 27; hkl 3 1 2, 2θ 56.4, I = 27

Crystal structure
Unit cell a=5.3633 b=5.3633 c=12.0350 alpha=90.00 beta=90.00 gamma=90.00
Space group I4_1md (No. 109)
One atom of each set of equivalent atoms:
Tm  0.0000  0.0000  0.0000 (multiplicity 4)
Ag  0.0000  0.0000  0.4568 (multiplicity 4)
S  0.0000  0.0000  0.2282 (multiplicity 4)
S  0.0000  0.0000  0.7769 (multiplicity 4)

# 4
Theoretical powder diffraction line list of Tm5AgS8 for Cu Kα (λ = 1.5418 Å), from a DFT-relaxed cell (GGA-PBE, Alexandria).

The 6 most intense peaks (2θ from 15° to 90°), in order of rising 2θ:
hkl 2 2 0, 2θ 22.4, I = 22; hkl 3 1 1, 2θ 26.4, I = 100; hkl 4 0 0, 2θ 31.9, I = 23; hkl 5 1 1, 2θ 41.9, I = 45; hkl 4 4 0, 2θ 45.8, I = 58; hkl 5 5 3, 2θ 63.8, I = 24

Crystal structure
Unit cell a=11.2078 b=11.2078 c=11.2078 alpha=90.00 beta=90.00 gamma=90.00
Space group F-43m (No. 216)
One atom of each set of equivalent atoms:
Tm  0.0000  0.0000  0.0000 (multiplicity 4)
Tm  0.1206  0.1206  0.6206 (multiplicity 16)
Ag  0.2500  0.2500  0.2500 (multiplicity 4)
S  0.1168  0.1168  0.3832 (multiplicity 16)
S  0.1334  0.1334  0.8666 (multiplicity 16)

# 5
Theoretical powder diffraction line list of U6AgS12 for Cu Kα (λ = 1.5418 Å), from a DFT-relaxed cell (GGA-PBE, Alexandria).

The 6 most intense peaks (2θ from 15° to 90°), in order of rising 2θ:
hkl 2 1 1, 2θ 23.4, I = 100; hkl 2 0 2, 2θ 24.4, I = 74; hkl 2 2 0, 2θ 28.3, I = 90; hkl 0 3 3, 2θ 36.9, I = 36; hkl 3 2 1, 2θ 37.0, I = 43; hkl 0 5 1, 2θ 42.4, I = 37

Crystal structure
Unit cell a=12.6159 b=12.6159 c=9.8353 alpha=90.00 beta=90.00 gamma=120.00
Space group R-3m (No. 166, hexagonal axes)
One atom of each set of equivalent atoms:
U  0.0576  0.5288  0.2805 (multiplicity 18)
Ag  0.0000  0.0000  0.0000 (multiplicity 3)
S  0.0000  0.3706  0.5000 (multiplicity 18)
S  0.0874  0.1748  0.3620 (multiplicity 18)

# 6
Theoretical powder diffraction line list of U3Ag3S8 for Cu Kα (λ = 1.5418 Å), from a DFT-relaxed cell (GGA-PBE, Alexandria).

The 6 most intense peaks (2θ from 15° to 90°), in order of rising 2θ:
hkl 0 2 1, 2θ 25.9, I = 100; hkl 1 1 3, 2θ 26.4, I = 81; hkl 2 0 2, 2θ 27.3, I = 51; hkl 0 2 4, 2θ 32.2, I = 77; hkl 2 2 0, 2θ 44.8, I = 72; hkl 2 0 8, 2θ 47.5, I = 56

Crystal structure
Unit cell a=8.0930 b=8.0930 c=18.2906 alpha=90.00 beta=90.00 gamma=120.00
Space group R-3m (No. 166, hexagonal axes)
One atom of each set of equivalent atoms:
U  0.0000  0.5000  0.0000 (multiplicity 9)
Ag  0.0000  0.0000  0.1153 (multiplicity 6)
Ag  0.0000  0.0000  0.5000 (multiplicity 3)
S  0.0000  0.0000  0.2571 (multiplicity 6)
S  0.0172  0.5086  0.2582 (multiplicity 18)

# 7
Theoretical powder diffraction line list of UAg2S4 for Cu Kα (λ = 1.5418 Å), from a DFT-relaxed cell (GGA-PBE, Alexandria).

The 6 most intense peaks (2θ from 15° to 90°), in order of rising 2θ:
hkl 1 0 3, 2θ 26.8, I = 48; hkl 2 1 1, 2θ 27.0, I = 100; hkl 2 0 2, 2θ 28.2, I = 30; hkl 2 2 0, 2θ 32.8, I = 30; hkl 3 2 1, 2θ 43.0, I = 32; hkl 2 2 4, 2θ 46.8, I = 57

Crystal structure
Unit cell a=7.7286 b=7.7286 c=11.0438 alpha=90.00 beta=90.00 gamma=90.00
Space group P4_122 (No. 91)
One atom of each set of equivalent atoms:
U  0.0000  0.2693  0.0000 (multiplicity 4)
Ag  0.2402  0.5000  0.7500 (multiplicity 4)
Ag  0.2512  0.2512  0.3750 (multiplicity 4)
S  0.0113  0.2262  0.7656 (multiplicity 8)
S  0.2414  0.4843  0.9963 (multiplicity 8)

# 8
Theoretical powder diffraction line list of U3Ag2S8 for Cu Kα (λ = 1.5418 Å), from a DFT-relaxed cell (GGA-PBE, Alexandria).

The 6 most intense peaks (2θ from 15° to 90°), in order of rising 2θ:
hkl 1 1 1, 2θ 19.4, I = 23; hkl 0 0 2, 2θ 26.1, I = 100; hkl 2 2 -1, 2θ 29.2, I = 48; hkl 4 2 -1, 2θ 38.6, I = 43; hkl 4 2 1, 2θ 41.4, I = 38; hkl 0 4 0, 2θ 46.0, I = 43

Crystal structure
Unit cell a=12.1193 b=7.8925 c=6.8825 alpha=90.00 beta=97.75 gamma=90.00
Space group C2/m (No. 12)
One atom of each set of equivalent atoms:
U  0.0000  0.0000  0.0000 (multiplicity 2)
U  0.0000  0.2541  0.5000 (multiplicity 4)
Ag  0.2175  0.5000  0.0689 (multiplicity 4)
S  0.1133  0.0000  0.3585 (multiplicity 4)
S  0.1161  0.5000  0.3815 (multiplicity 4)
S  0.1185  0.2375  0.8533 (multiplicity 8)